1.
For CsSiBiS4, a structure optimized by DFT (PBE) gives the theoretical powder XRD pattern in this record (Cu Ka).
Kinematic intensities with the Lorentz-polarization factor, no thermal factor.

```
CsSiBiS4
1.0
6.606 0.000 0.000
0.000 6.869 0.000
-2.934 0.000 9.015
Cs Si Bi S
2 2 2 8
Direct
0.225 0.250 0.437
0.775 0.750 0.563
0.276 0.750 0.162
0.724 0.250 0.838
0.269 0.250 0.963
0.731 0.750 0.037
0.078 0.750 0.936
0.085 0.750 0.304
0.491 0.506 0.199
0.491 0.994 0.199
0.509 0.006 0.801
0.509 0.494 0.801
0.915 0.250 0.696
0.922 0.250 0.064
```

Most intense lines, 10 to 80 degrees two-theta, most intense first:
two_theta	intensity
19.15	1000
30.66	494
24.19	486
25.94	459
32.78	378
38.85	346
29.19	341
19.69	265
23.61	236
32.03	234

2.
For K5Al, a structure optimized by DFT (PBE) gives the theoretical powder XRD pattern in this record (Cu Ka).
Kinematic intensities with the Lorentz-polarization factor, no thermal factor.

```
K5Al
1.0
7.591 -2.292 0.000
7.591 2.292 0.000
-4.197 0.000 9.978
K Al
5 1
Direct
0.000 0.000 0.000
0.027 0.027 0.400
0.368 0.368 0.626
0.708 0.708 0.850
0.736 0.736 0.251
0.367 0.367 0.125
```

Most intense lines, 10 to 80 degrees two-theta, most intense first:
two_theta	intensity
25.47	1000
27.28	978
24.78	622
25.64	530
38.44	234
47.04	232
39.32	211
21.25	206
23.46	205
47.52	167